1.
The following is a computed X-ray diffraction stick pattern of LaNd3. It was derived from a PBE-relaxed structure, using Cu Kα X-rays.
Intensities are scaled so that the largest is 100.

The 6 most intense peaks (2θ from 10° to 80°), most intense first:
2θ 29.6, rel. 100; 2θ 34.4, rel. 34; 2θ 58.6, rel. 29; 2θ 49.2, rel. 24; 2θ 34.1, rel. 17; 2θ 58.2, rel. 15

Atomic structure:
Lattice parameters (Å, degrees): 6.4270 6.4270 6.4270 132.10 132.10 70.07
Positions (direct):
La1 0.0000 0.0000 0.0000
Nd1 0.2500 0.7500 0.5000
Nd2 0.5000 0.5000 0.0000
Nd3 0.7500 0.2500 0.5000


2.
The following is a computed X-ray diffraction stick pattern of La2TlSe3. It was derived from a PBE-relaxed structure, using Cu Kα X-rays.
Intensities are scaled so that the largest is 100.

The 6 most intense peaks (2θ from 10° to 80°), most intense first:
2θ 28.4, rel. 100; 2θ 41.6, rel. 58; 2θ 30.8, rel. 43; 2θ 39.6, rel. 33; 2θ 26.4, rel. 30; 2θ 24.9, rel. 25

Atomic structure:
Lattice parameters (Å, degrees): 4.3417 4.3417 22.8841 90.00 90.00 120.00
Positions (direct):
La1 0.3333 0.6667 0.0783
La2 0.3333 0.6667 0.4217
La3 0.6667 0.3333 0.5783
La4 0.6667 0.3333 0.9217
Tl1 0.0000 0.0000 0.2500
Tl2 0.0000 0.0000 0.7500
Se1 0.0000 0.0000 0.0000
Se2 0.0000 0.0000 0.5000
Se3 0.3333 0.6667 0.6514
Se4 0.3333 0.6667 0.8486
Se5 0.6667 0.3333 0.1514
Se6 0.6667 0.3333 0.3486


3.
The following is a computed X-ray diffraction stick pattern of KBe2H. It was derived from a PBE-relaxed structure, using Cu Kα X-rays.
Intensities are scaled so that the largest is 100.

The 6 most intense peaks (2θ from 10° to 80°), most intense first:
2θ 32.2, rel. 100; 2θ 38.0, rel. 78; 2θ 19.6, rel. 57; 2θ 57.5, rel. 30; 2θ 61.3, rel. 22; 2θ 67.4, rel. 15

Atomic structure:
Lattice parameters (Å, degrees): 5.5565 5.5565 5.5565 60.00 60.00 60.00
Positions (direct):
K1 0.1250 0.1250 0.1250
K2 0.8750 0.8750 0.8750
Be1 0.0000 0.5000 0.5000
Be2 0.5000 0.0000 0.5000
Be3 0.5000 0.5000 0.0000
Be4 0.5000 0.5000 0.5000
H1 0.3750 0.3750 0.3750
H2 0.6250 0.6250 0.6250